[1]
Simulated powder XRD pattern of La4AlCd for a wavelength of 1.5418 Å, from DFT lattice parameters and positions (PBE).
Neutral-atom scattering factors, no anomalous dispersion.

Crystal structure
Cell: 3.8726 5.8567 8.9061 Å, 90.00 90.00 90.00°
Space group Pmmm (No. 47)
Inequivalent atoms, fractional coordinates:
La 0.0000 0.0000 0.2003
La 0.5000 0.5000 0.2793
Al 0.0000 0.5000 0.0000
Cd 0.5000 0.0000 0.5000

Peak list (8 most intense, 2θ from 10° to 80°, in order of falling intensity)
| 2θ (°) | I_rel | h k l |
| --- | --- | --- |
| 34.30 | 100 | 1 1 2 |
| 30.53 | 43 | 0 2 0 |
| 27.61 | 38 | 1 1 0 |
| 33.85 | 35 | 0 1 3 |
| 19.94 | 28 | 0 0 2 |
| 25.08 | 27 | 1 0 1 |
| 56.71 | 24 | 1 3 2 |
| 65.95 | 15 | 1 2 5 |



[2]
Simulated powder XRD pattern of LaAlCd11 for a wavelength of 1.5418 Å, from DFT lattice parameters and positions (PBE).
Neutral-atom scattering factors, no anomalous dispersion.

Crystal structure
Cell: 5.9146 14.2505 7.6221 Å, 90.00 112.60 90.00°
Space group C2/m (No. 12)
Inequivalent atoms, fractional coordinates:
La 0.0000 0.0000 0.0000
Al 0.0000 0.5000 0.5000
Cd 0.0000 0.0000 0.5000
Cd 0.1041 0.3940 0.2156
Cd 0.1837 0.1745 0.3556
Cd 0.2500 0.2500 0.0000

Peak list (8 most intense, 2θ from 10° to 80°, in order of falling intensity)
| 2θ (°) | I_rel | h k l |
| --- | --- | --- |
| 35.86 | 100 | 0 4 2 |
| 35.24 | 73 | 2 2 0 |
| 35.54 | 59 | 1 5 0 |
| 30.77 | 55 | 1 3 -2 |
| 39.61 | 34 | 2 4 -1 |
| 64.01 | 29 | 2 6 2 |
| 39.94 | 28 | 2 0 -3 |
| 30.22 | 27 | 2 0 -1 |



[3]
Simulated powder XRD pattern of LaAlCd for a wavelength of 1.5418 Å, from DFT lattice parameters and positions (PBE).
Neutral-atom scattering factors, no anomalous dispersion.

Crystal structure
Cell: 4.8965 8.0821 7.8315 Å, 90.00 90.00 90.00°
Space group Ima2 (No. 46)
Inequivalent atoms, fractional coordinates:
La 0.2500 0.2142 0.0000
Al 0.2500 0.5778 0.1965
Cd 0.2500 0.5941 0.8035

Peak list (8 most intense, 2θ from 10° to 80°, in order of falling intensity)
| 2θ (°) | I_rel | h k l |
| --- | --- | --- |
| 31.27 | 100 | 1 1 2 |
| 38.13 | 46 | 1 3 0 |
| 30.88 | 45 | 1 2 1 |
| 31.82 | 36 | 0 2 2 |
| 36.71 | 33 | 2 0 0 |
| 15.76 | 30 | 0 1 1 |
| 49.35 | 21 | 2 2 2 |
| 36.16 | 16 | 0 1 3 |



[4]
Simulated powder XRD pattern of La4AlCd for a wavelength of 1.5418 Å, from DFT lattice parameters and positions (PBE).
Neutral-atom scattering factors, no anomalous dispersion.

Crystal structure
Cell: 5.3548 5.3548 7.4692 Å, 90.00 90.00 90.00°
Space group P4/mmm (No. 123)
Inequivalent atoms, fractional coordinates:
La 0.0000 0.5000 0.2357
Al 0.0000 0.0000 0.0000
Cd 0.5000 0.5000 0.5000

Peak list (8 most intense, 2θ from 10° to 80°, in order of falling intensity)
| 2θ (°) | I_rel | h k l |
| --- | --- | --- |
| 33.71 | 100 | 1 1 2 |
| 33.47 | 52 | 2 0 0 |
| 23.50 | 44 | 1 1 0 |
| 59.98 | 37 | 3 1 2 |
| 23.83 | 21 | 0 0 2 |
| 41.50 | 19 | 2 0 2 |
| 48.06 | 19 | 2 2 0 |
| 60.44 | 17 | 2 0 4 |



[5]
Simulated powder XRD pattern of La3Al4Cd2 for a wavelength of 1.5418 Å, from DFT lattice parameters and positions (PBE).
Neutral-atom scattering factors, no anomalous dispersion.

Crystal structure
Cell: 11.4075 4.7591 9.1174 Å, 90.00 111.29 90.00°
Space group C2/m (No. 12)
Inequivalent atoms, fractional coordinates:
La 0.0000 0.0000 0.0000
La 0.1627 0.5000 0.6703
Al 0.0536 0.0000 0.3907
Al 0.2331 0.5000 0.0610
Cd 0.1212 0.5000 0.2865

Peak list (8 most intense, 2θ from 10° to 80°, in order of falling intensity)
| 2θ (°) | I_rel | h k l |
| --- | --- | --- |
| 31.52 | 100 | 3 1 0 |
| 37.77 | 76 | 0 2 0 |
| 21.54 | 33 | 2 0 -2 |
| 31.60 | 27 | 0 0 3 |
| 64.39 | 25 | 3 3 0 |
| 31.41 | 23 | 4 0 -1 |
| 50.07 | 21 | 0 2 3 |
| 46.43 | 13 | 4 0 2 |



[6]
Simulated powder XRD pattern of La2AlCd2 for a wavelength of 1.5418 Å, from DFT lattice parameters and positions (PBE).
Neutral-atom scattering factors, no anomalous dispersion.

Crystal structure
Cell: 11.4693 4.8756 10.4413 Å, 90.00 110.76 90.00°
Space group C2/m (No. 12)
Inequivalent atoms, fractional coordinates:
La 0.0987 0.0000 0.3804
La 0.1771 0.0000 0.0507
Al 0.2286 0.0000 0.7248
Cd 0.0086 0.5000 0.1464
Cd 0.1088 0.5000 0.6275

Peak list (8 most intense, 2θ from 10° to 80°, in order of falling intensity)
| 2θ (°) | I_rel | h k l |
| --- | --- | --- |
| 31.62 | 100 | 1 1 -3 |
| 31.20 | 86 | 3 1 -2 |
| 36.86 | 83 | 0 2 0 |
| 34.88 | 72 | 3 1 1 |
| 31.02 | 43 | 3 1 0 |
| 23.20 | 32 | 1 1 1 |
| 35.02 | 30 | 4 0 -3 |
| 29.11 | 23 | 1 1 2 |



[7]
Simulated powder XRD pattern of La5PmAlCd2 for a wavelength of 1.5418 Å, from DFT lattice parameters and positions (PBE).
Neutral-atom scattering factors, no anomalous dispersion.

Crystal structure
Cell: 7.7310 7.7310 10.0382 Å, 90.00 90.00 90.00°
Space group P4/mbm (No. 127)
Inequivalent atoms, fractional coordinates:
La 0.0000 0.0000 0.0000
La 0.2168 0.2832 0.2726
Pm 0.0000 0.0000 0.5000
Al 0.0000 0.5000 0.5000
Cd 0.1200 0.6200 0.0000

Peak list (8 most intense, 2θ from 10° to 80°, in order of falling intensity)
| 2θ (°) | I_rel | h k l |
| --- | --- | --- |
| 29.16 | 100 | 2 0 2 |
| 31.42 | 36 | 2 1 2 |
| 32.76 | 34 | 2 2 0 |
| 35.78 | 22 | 0 0 4 |
| 56.28 | 20 | 4 2 2 |
| 49.30 | 17 | 2 2 4 |
| 36.76 | 15 | 3 1 0 |
| 27.28 | 13 | 2 1 1 |



[8]
Simulated powder XRD pattern of Li4AlCd for a wavelength of 1.5418 Å, from DFT lattice parameters and positions (PBE).
Neutral-atom scattering factors, no anomalous dispersion.

Crystal structure
Cell: 7.1867 7.9617 4.6237 Å, 90.00 129.83 90.00°
Space group C2/m (No. 12)
Inequivalent atoms, fractional coordinates:
Li 0.2471 0.1657 0.2474
Al 0.0000 0.0000 0.5000
Cd 0.0000 0.5000 0.0000

Peak list (8 most intense, 2θ from 10° to 80°, in order of falling intensity)
| 2θ (°) | I_rel | h k l |
| --- | --- | --- |
| 22.27 | 100 | 0 2 0 |
| 19.57 | 38 | 1 1 0 |
| 39.75 | 38 | 3 1 -1 |
| 39.14 | 23 | 1 3 -1 |
| 25.13 | 22 | 0 0 1 |
| 33.86 | 20 | 0 2 1 |
| 39.63 | 19 | 1 1 1 |
| 51.71 | 14 | 1 3 1 |



[9]
Simulated powder XRD pattern of LiAlCd4 for a wavelength of 1.5418 Å, from DFT lattice parameters and positions (PBE).
Neutral-atom scattering factors, no anomalous dispersion.

Crystal structure
Cell: 8.1599 8.1599 8.1599 Å, 90.00 90.00 90.00°
Space group F-43m (No. 216)
Inequivalent atoms, fractional coordinates:
Li 0.0000 0.0000 0.0000
Al 0.2500 0.2500 0.7500
Cd 0.1254 0.1254 0.3746

Peak list (8 most intense, 2θ from 10° to 80°, in order of falling intensity)
| 2θ (°) | I_rel | h k l |
| --- | --- | --- |
| 18.84 | 100 | 1 1 1 |
| 36.52 | 84 | 3 1 1 |
| 38.21 | 82 | 2 2 2 |
| 44.41 | 34 | 4 0 0 |
| 77.61 | 29 | 6 2 2 |
| 64.61 | 28 | 4 4 0 |
| 58.80 | 27 | 5 1 1 |
| 48.64 | 25 | 3 3 1 |



[10]
Simulated powder XRD pattern of LiAl2Cd for a wavelength of 1.5418 Å, from DFT lattice parameters and positions (PBE).
Neutral-atom scattering factors, no anomalous dispersion.

Crystal structure
Cell: 5.8962 5.9558 8.1273 Å, 90.00 90.00 90.00°
Space group F222 (No. 22)
Inequivalent atoms, fractional coordinates:
Li 0.0000 0.0000 0.0000
Al 0.0000 0.0000 0.5000
Al 0.2500 0.2500 0.2500
Cd 0.2500 0.2500 0.7500

Peak list (8 most intense, 2θ from 10° to 80°, in order of falling intensity)
| 2θ (°) | I_rel | h k l |
| --- | --- | --- |
| 23.89 | 100 | 1 1 1 |
| 37.44 | 58 | 0 2 2 |
| 37.70 | 56 | 2 0 2 |
| 21.87 | 46 | 0 0 2 |
| 43.18 | 38 | 2 2 0 |
| 39.62 | 27 | 1 1 3 |
| 63.81 | 23 | 2 2 4 |
| 30.01 | 21 | 0 2 0 |



[11]
Simulated powder XRD pattern of Li2Mg4AlCd2 for a wavelength of 1.5418 Å, from DFT lattice parameters and positions (PBE).
Neutral-atom scattering factors, no anomalous dispersion.

Crystal structure
Cell: 4.9456 6.3065 6.4134 Å, 75.11 76.73 84.79°
Space group P-1 (No. 2)
Inequivalent atoms, fractional coordinates:
Li 0.2309 0.2811 0.0983
Mg 0.3119 0.5931 0.6817
Mg 0.3901 0.0602 0.7347
Al 0.0000 0.0000 0.5000
Cd 0.1764 0.7131 0.1757

Peak list (8 most intense, 2θ from 10° to 80°, in order of falling intensity)
| 2θ (°) | I_rel | h k l |
| --- | --- | --- |
| 23.09 | 100 | 0 1 -1 |
| 37.18 | 88 | -1 2 1 |
| 23.96 | 60 | 1 -1 0 |
| 37.43 | 53 | 1 2 2 |
| 17.97 | 52 | 0 1 1 |
| 23.17 | 47 | 1 1 0 |
| 39.80 | 44 | 2 1 0 |
| 29.48 | 43 | 0 0 2 |



[12]
Simulated powder XRD pattern of Sr2Li12AlCd3 for a wavelength of 1.5418 Å, from DFT lattice parameters and positions (PBE).
Neutral-atom scattering factors, no anomalous dispersion.

Crystal structure
Cell: 10.2019 10.2019 13.7286 Å, 90.00 90.00 120.00°
Space group R-3m (No. 166, hexagonal axes)
Inequivalent atoms, fractional coordinates:
Sr 0.0000 0.0000 0.2394
Li 0.0346 0.5173 0.2069
Li 0.0528 0.5264 0.6019
Al 0.0000 0.0000 0.5000
Cd 0.0000 0.5000 0.0000

Peak list (8 most intense, 2θ from 10° to 80°, in order of falling intensity)
| 2θ (°) | I_rel | h k l |
| --- | --- | --- |
| 16.35 | 100 | 0 1 2 |
| 21.13 | 90 | 0 2 1 |
| 35.19 | 89 | 2 2 0 |
| 33.05 | 84 | 0 2 4 |
| 29.75 | 59 | 1 2 2 |
| 11.91 | 53 | 1 0 1 |
| 38.61 | 36 | 2 0 5 |
| 26.16 | 33 | 1 1 3 |



[13]
Simulated powder XRD pattern of Li3Al2Zn3Cd for a wavelength of 1.5418 Å, from DFT lattice parameters and positions (PBE).
Neutral-atom scattering factors, no anomalous dispersion.

Crystal structure
Cell: 7.6548 7.6548 2.8362 Å, 90.00 90.00 120.00°
Space group P-62m (No. 189)
Inequivalent atoms, fractional coordinates:
Li 0.0000 0.6931 0.0000
Al 0.3333 0.6667 0.0000
Zn 0.0000 0.3689 0.5000
Cd 0.0000 0.0000 0.5000

Peak list (8 most intense, 2θ from 10° to 80°, in order of falling intensity)
| 2θ (°) | I_rel | h k l |
| --- | --- | --- |
| 23.24 | 100 | 1 1 0 |
| 40.84 | 100 | 3 0 0 |
| 39.55 | 61 | 1 1 1 |
| 41.92 | 58 | 2 0 1 |
| 26.90 | 49 | 2 0 0 |
| 13.36 | 45 | 1 0 0 |
| 48.48 | 44 | 2 1 1 |
| 52.50 | 37 | 3 0 1 |



[14]
Simulated powder XRD pattern of LiAlZnCd for a wavelength of 1.5418 Å, from DFT lattice parameters and positions (PBE).
Neutral-atom scattering factors, no anomalous dispersion.

Crystal structure
Cell: 4.3390 4.3390 7.2989 Å, 90.00 90.00 90.00°
Space group I-4m2 (No. 119)
Inequivalent atoms, fractional coordinates:
Li 0.0000 0.0000 0.0000
Al 0.0000 0.0000 0.5000
Zn 0.0000 0.5000 0.2500
Cd 0.0000 0.5000 0.7500

Peak list (8 most intense, 2θ from 10° to 80°, in order of falling intensity)
| 2θ (°) | I_rel | h k l |
| --- | --- | --- |
| 38.33 | 100 | 1 1 2 |
| 29.11 | 52 | 1 1 0 |
| 24.39 | 41 | 0 0 2 |
| 41.63 | 39 | 2 0 0 |
| 73.78 | 27 | 3 1 2 |
| 48.84 | 24 | 2 0 2 |
| 67.02 | 18 | 2 0 4 |
| 23.86 | 17 | 1 0 1 |